For Pu2ZnF11, a DFT-relaxed cell (GGA-PBE, Alexandria) gives the theoretical powder XRD pattern in this record (a wavelength of 1.5418 Å).

Main lines, in order of rising 2θ (10 to 80 degrees two-theta):
two_theta, I/Imax
17.33, 63
18.43, 35
23.45, 55
24.09, 100
24.19, 35
26.57, 32

a = 8.050 Å, b = 8.050 Å, c = 9.670 Å
α = 122.81°, β = 122.81°, γ = 66.72°
Fractional positions:
Pu (0.115, 0.369, 0.197)
Pu (0.369, 0.115, 0.697)
Pu (0.631, 0.885, 0.303)
Pu (0.885, 0.631, 0.803)
Zn (0.335, 0.665, 0.750)
Zn (0.665, 0.335, 0.250)
F (0.000, 0.500, 0.000)
F (0.001, 0.856, 0.048)
F (0.062, 0.682, 0.723)
F (0.137, 0.343, 0.770)
F (0.144, 0.999, 0.452)
F (0.251, 0.577, 0.470)
F (0.318, 0.938, 0.777)
F (0.343, 0.137, 0.270)
F (0.369, 0.377, 0.177)
F (0.377, 0.369, 0.677)
F (0.423, 0.749, 0.030)
F (0.500, 0.000, 0.500)
F (0.577, 0.251, 0.970)
F (0.623, 0.631, 0.323)
F (0.631, 0.623, 0.823)
F (0.657, 0.863, 0.730)
F (0.682, 0.062, 0.223)
F (0.749, 0.423, 0.530)
F (0.856, 0.001, 0.548)
F (0.863, 0.657, 0.230)
F (0.938, 0.318, 0.277)
F (0.999, 0.144, 0.952)



For HfMn10Cr2, a DFT-relaxed cell (GGA-PBE, Alexandria) gives the theoretical powder XRD pattern in this record (a wavelength of 1.5418 Å).

Main lines, in order of rising 2θ (10 to 80 degrees two-theta):
two_theta, I/Imax
38.91, 28
41.04, 32
43.94, 38
44.46, 23
44.89, 100
45.42, 35

a = 6.241 Å, b = 6.241 Å, c = 7.983 Å
α = 90.00°, β = 90.00°, γ = 97.41°
Fractional positions:
Hf (0.120, 0.880, 0.750)
Hf (0.880, 0.120, 0.250)
Mn (0.126, 0.375, 0.750)
Mn (0.170, 0.830, 0.103)
Mn (0.170, 0.830, 0.397)
Mn (0.222, 0.222, 0.000)
Mn (0.222, 0.222, 0.500)
Mn (0.255, 0.474, 0.250)
Mn (0.375, 0.126, 0.250)
Mn (0.396, 0.604, 0.573)
Mn (0.396, 0.604, 0.927)
Mn (0.474, 0.255, 0.750)
Mn (0.526, 0.745, 0.250)
Mn (0.604, 0.396, 0.073)
Mn (0.604, 0.396, 0.427)
Mn (0.625, 0.874, 0.750)
Mn (0.745, 0.526, 0.750)
Mn (0.778, 0.778, 0.000)
Mn (0.778, 0.778, 0.500)
Mn (0.830, 0.170, 0.603)
Mn (0.830, 0.170, 0.897)
Mn (0.874, 0.625, 0.250)
Cr (0.000, 0.500, 0.000)
Cr (0.000, 0.500, 0.500)
Cr (0.500, 0.000, 0.000)
Cr (0.500, 0.000, 0.500)



For PaNi4H12, a DFT-relaxed cell (GGA-PBE, Alexandria) gives the theoretical powder XRD pattern in this record (a wavelength of 1.5418 Å).

Main lines, in order of rising 2θ (10 to 80 degrees two-theta):
two_theta, I/Imax
18.90, 100
33.04, 51
38.34, 78
43.08, 25
51.50, 30
69.33, 27

a = 5.750 Å, b = 5.750 Å, c = 5.750 Å
α = 109.47°, β = 109.47°, γ = 109.47°
Fractional positions:
Pa (0.000, 0.000, 0.000)
Ni (0.000, 0.000, 0.500)
Ni (0.000, 0.500, 0.000)
Ni (0.500, 0.000, 0.000)
Ni (0.500, 0.500, 0.500)
H (0.000, 0.247, 0.753)
H (0.000, 0.753, 0.247)
H (0.247, 0.000, 0.753)
H (0.247, 0.247, 0.494)
H (0.247, 0.494, 0.247)
H (0.247, 0.753, 0.000)
H (0.494, 0.247, 0.247)
H (0.506, 0.753, 0.753)
H (0.753, 0.000, 0.247)
H (0.753, 0.247, 0.000)
H (0.753, 0.506, 0.753)
H (0.753, 0.753, 0.506)